Diffraction record for HfZrS6. The X-ray powder pattern is simulated, not measured: it uses a crystal structure in the Materials Project, relaxed with GGA-PBE and Cu Kα.
Intensities are scaled so that the largest is 1000.

Principal peaks in the range 2θ from 5° to 70°, sorted by position:
2theta	Rel. int.	index
9.64	1000	0 0 1
18.81	362	1 0 -1
20.70	369	1 0 1
24.51	198	1 0 -2
31.41	691	0 1 2
40.99	194	1 1 -3
43.33	176	2 1 -1
43.84	197	1 1 3

Atomic structure:
Lattice parameters (Å, degrees): 5.179 3.633 9.234 90.00 96.38 90.00
Space group Pm (No. 6)
Asymmetric unit:
1 Hf 0.000 0.000 0.000 [1 per cell]
2 Zr 0.556 0.500 0.302 [1 per cell]
3 S 0.036 0.500 0.202 [1 per cell]
4 S 0.163 0.500 0.829 [1 per cell]
5 S 0.395 0.000 0.477 [1 per cell]
6 S 0.517 0.000 0.096 [1 per cell]
7 S 0.763 0.500 0.832 [1 per cell]
8 S 0.794 0.000 0.472 [1 per cell]


Diffraction record for Hf3Sb. The X-ray powder pattern is simulated, not measured: it uses a crystal structure in the Materials Project, relaxed with GGA-PBE and Cu Kα.
Intensities are scaled so that the largest is 1000.

Principal peaks in the range 2θ from 5° to 70°, sorted by position:
2theta	Rel. int.	index
32.75	898	2 3 1
33.43	494	1 1 2
33.83	394	3 3 0
35.72	394	2 4 0
36.54	1000	4 1 1
38.91	426	2 2 2
40.59	293	1 3 2
40.94	254	5 1 0

Atomic structure:
Lattice parameters (Å, degrees): 11.242 11.242 5.695 90.00 90.00 90.00
Space group I-4 (No. 82)
Asymmetric unit:
1 Hf 0.023 0.353 0.479 [8 per cell]
2 Hf 0.083 0.895 0.296 [8 per cell]
3 Hf 0.187 0.785 0.736 [8 per cell]
4 Sb 0.032 0.290 0.977 [8 per cell]


Diffraction record for Hf5Sb9. The X-ray powder pattern is simulated, not measured: it uses a crystal structure in the Materials Project, relaxed with GGA-PBE and Cu Kα.
Intensities are scaled so that the largest is 1000.

Principal peaks in the range 2θ from 5° to 70°, sorted by position:
2theta	Rel. int.	index
24.71	382	2 1 1
30.71	291	0 0 3
32.00	546	1 3 0
33.65	788	1 3 1
38.21	900	1 3 2
38.39	1000	2 1 3
45.89	569	4 2 0
61.32	497	5 0 3

Atomic structure:
Lattice parameters (Å, degrees): 8.844 8.844 8.735 90.00 90.00 90.00
Space group P4/n (No. 85, origin choice 2)
Asymmetric unit:
1 Hf 0.043 0.645 0.234 [8 per cell]
2 Hf 0.250 0.250 0.245 [2 per cell]
3 Sb 0.019 0.170 0.498 [8 per cell]
4 Sb 0.053 0.653 0.882 [8 per cell]
5 Sb 0.250 0.250 0.892 [2 per cell]


Diffraction record for HfSb2. The X-ray powder pattern is simulated, not measured: it uses a crystal structure in the Materials Project, relaxed with GGA-PBE and Cu Kα.
Intensities are scaled so that the largest is 1000.

Principal peaks in the range 2θ from 5° to 70°, sorted by position:
2theta	Rel. int.	index
29.64	504	2 1 1
32.21	327	3 3 0
34.22	973	1 4 1
35.94	290	3 1 1
37.44	1000	3 2 1
37.64	442	0 5 1
40.08	312	2 6 0
46.54	385	0 0 2

Atomic structure:
Lattice parameters (Å, degrees): 9.993 15.119 3.903 90.00 90.00 90.00
Space group Pnnm (No. 58)
Asymmetric unit:
1 Hf 0.022 0.248 0.000 [4 per cell]
2 Hf 0.167 0.507 0.000 [4 per cell]
3 Sb 0.013 0.395 0.500 [4 per cell]
4 Sb 0.119 0.057 0.000 [4 per cell]
5 Sb 0.160 0.845 0.500 [4 per cell]
6 Sb 0.232 0.198 0.500 [4 per cell]


Diffraction record for HfSb2. The X-ray powder pattern is simulated, not measured: it uses a crystal structure in the Materials Project, relaxed with GGA-PBE and Cu Kα.
Intensities are scaled so that the largest is 1000.

Principal peaks in the range 2θ from 5° to 70°, sorted by position:
2theta	Rel. int.	index
23.84	330	1 0 1
30.49	324	1 1 0
31.30	296	0 0 3
32.27	934	1 1 1
37.15	1000	1 1 2
38.25	798	1 0 3
43.65	687	2 0 0
59.41	441	2 1 3

Atomic structure:
Lattice parameters (Å, degrees): 4.147 4.147 8.573 90.00 90.00 90.00
Space group P4/nmm (No. 129, origin choice 2)
Asymmetric unit:
1 Hf 0.250 0.250 0.235 [2 per cell]
2 Sb 0.250 0.250 0.881 [2 per cell]
3 Sb 0.250 0.750 0.500 [2 per cell]


Diffraction record for Hf2Sb3Te. The X-ray powder pattern is simulated, not measured: it uses a crystal structure in the Materials Project, relaxed with GGA-PBE and Cu Kα.
Intensities are scaled so that the largest is 1000.

Principal peaks in the range 2θ from 5° to 70°, sorted by position:
2theta	Rel. int.	index
30.39	1000	1 1 1
31.76	419	1 1 -2
35.17	755	0 0 3
37.85	512	3 1 0
38.23	343	1 1 2
38.64	351	4 0 0
41.18	538	3 1 -3
49.36	387	0 2 0

Atomic structure:
Lattice parameters (Å, degrees): 10.663 3.692 8.751 90.00 119.06 90.00
Space group Cm (No. 8)
Asymmetric unit:
1 Hf 0.000 0.000 0.000 [2 per cell]
2 Hf 0.190 0.500 0.624 [2 per cell]
3 Sb 0.199 0.500 0.282 [2 per cell]
4 Sb 0.438 0.000 0.695 [2 per cell]
5 Sb 0.491 0.500 0.340 [2 per cell]
6 Te 0.253 0.000 0.924 [2 per cell]


Diffraction record for HfU3Sb5. The X-ray powder pattern is simulated, not measured: it uses a crystal structure in the Materials Project, relaxed with GGA-PBE and Cu Kα.
Intensities are scaled so that the largest is 1000.

Principal peaks in the range 2θ from 5° to 70°, sorted by position:
2theta	Rel. int.	index
24.07	199	1 1 1
33.00	678	2 1 1
33.64	864	3 0 0
34.94	1000	1 1 2
43.36	308	3 1 1
49.28	236	2 2 2
60.99	175	4 1 2
63.39	179	4 2 1

Atomic structure:
Lattice parameters (Å, degrees): 9.2298 9.2298 6.1816 90.00 90.00 120.00
Space group P6_3/mcm (No. 193)
Asymmetric unit:
1 Hf 0.0000 0.0000 0.0000 [2 per cell]
2 U 0.0000 0.3873 0.2500 [6 per cell]
3 Sb 0.0000 0.2700 0.7500 [6 per cell]
4 Sb 0.3333 0.6667 0.0000 [4 per cell]


Diffraction record for Hf10VSb5. The X-ray powder pattern is simulated, not measured: it uses a crystal structure in the Materials Project, relaxed with GGA-PBE and Cu Kα.
Intensities are scaled so that the largest is 1000.

Principal peaks in the range 2θ from 5° to 70°, sorted by position:
2theta	Rel. int.	index
32.06	221	0 0 2
33.31	529	3 2 1
36.03	344	2 0 2
36.30	447	4 2 0
37.17	1000	4 1 1
39.66	358	2 2 2
59.02	166	5 5 0
60.54	236	4 1 3

Atomic structure:
Lattice parameters (Å, degrees): 11.066 11.066 5.583 90.00 90.00 90.00
Space group I422 (No. 97)
Asymmetric unit:
1 Hf 0.000 0.500 0.000 [4 per cell]
2 Hf 0.076 0.216 0.236 [16 per cell]
3 V 0.000 0.000 0.000 [2 per cell]
4 Sb 0.000 0.000 0.500 [2 per cell]
5 Sb 0.164 0.336 0.750 [8 per cell]


Diffraction record for Hf5ZnSb3. The X-ray powder pattern is simulated, not measured: it uses a crystal structure in the Materials Project, relaxed with GGA-PBE and Cu Kα.
Intensities are scaled so that the largest is 1000.

Principal peaks in the range 2θ from 5° to 70°, sorted by position:
2theta	Rel. int.	index
31.78	141	2 1 0
35.46	696	2 1 1
36.18	815	3 0 0
37.46	1000	1 1 2
53.06	274	2 2 2
56.12	144	3 2 1
57.96	169	2 1 3
65.91	139	4 1 2

Atomic structure:
Lattice parameters (Å, degrees): 8.6010 8.6010 5.7867 90.00 90.00 120.00
Space group P6_3/mcm (No. 193)
Asymmetric unit:
1 Hf 0.0000 0.2691 0.2500 [6 per cell]
2 Hf 0.3333 0.6667 0.0000 [4 per cell]
3 Zn 0.0000 0.0000 0.0000 [2 per cell]
4 Sb 0.0000 0.3860 0.7500 [6 per cell]


Diffraction record for Hf5Sc. The X-ray powder pattern is simulated, not measured: it uses a crystal structure in the Materials Project, relaxed with GGA-PBE and Cu Kα.
Intensities are scaled so that the largest is 1000.

Principal peaks in the range 2θ from 5° to 70°, sorted by position:
2theta	Rel. int.	index
18.40	83	1 0 0
32.15	253	1 1 0
35.50	245	0 0 2
36.86	1000	1 1 1
48.64	161	1 1 2
57.33	185	3 0 0
64.63	195	1 1 3
69.27	210	3 0 2

Atomic structure:
Lattice parameters (Å, degrees): 5.5675 5.5675 5.0576 90.00 90.00 120.00
Space group P-62m (No. 189)
Asymmetric unit:
1 Hf 0.0000 0.6616 0.0000 [3 per cell]
2 Hf 0.3333 0.6667 0.5000 [2 per cell]
3 Sc 0.0000 0.0000 0.5000 [1 per cell]


Diffraction record for HfSc. The X-ray powder pattern is simulated, not measured: it uses a crystal structure in the Materials Project, relaxed with GGA-PBE and Cu Kα.
Intensities are scaled so that the largest is 1000.

Principal peaks in the range 2θ from 5° to 70°, sorted by position:
2theta	Rel. int.	index
17.35	422	0 0 1
31.92	440	1 0 0
35.11	222	0 0 2
36.55	1000	1 0 1
48.18	286	1 0 2
56.88	164	1 1 0
63.94	194	1 0 3
68.63	185	1 1 2

Atomic structure:
Lattice parameters (Å, degrees): 3.2377 3.2377 5.1114 90.00 90.00 120.00
Space group P-6m2 (No. 187)
Asymmetric unit:
1 Hf 0.0000 0.0000 0.0000 [1 per cell]
2 Sc 0.6667 0.3333 0.5000 [1 per cell]


Diffraction record for Hf5Sc5Si6. The X-ray powder pattern is simulated, not measured: it uses a crystal structure in the Materials Project, relaxed with GGA-PBE and Cu Kα.
Intensities are scaled so that the largest is 1000.

Principal peaks in the range 2θ from 5° to 70°, sorted by position:
2theta	Rel. int.	index
12.95	636	0 1 1
22.51	633	0 3 1
26.08	294	0 2 2
34.12	388	2 2 0
34.68	313	0 4 2
39.01	1000	2 0 2
39.57	299	0 3 3
56.71	241	2 6 2

Atomic structure:
Lattice parameters (Å, degrees): 5.692 13.706 7.881 90.00 90.00 90.00
Space group Amm2 (No. 38)
Asymmetric unit:
1 Hf 0.000 0.000 0.000 [2 per cell]
2 Hf 0.250 0.166 0.748 [8 per cell]
3 Sc 0.000 0.122 0.369 [4 per cell]
4 Sc 0.500 0.000 0.492 [2 per cell]
5 Sc 0.500 0.122 0.124 [4 per cell]
6 Si 0.000 0.000 0.644 [2 per cell]
7 Si 0.000 0.197 0.050 [4 per cell]
8 Si 0.500 0.000 0.853 [2 per cell]
9 Si 0.500 0.198 0.445 [4 per cell]


Diffraction record for Hf5ScSi4. The X-ray powder pattern is simulated, not measured: it uses a crystal structure in the Materials Project, relaxed with GGA-PBE and Cu Kα.
Intensities are scaled so that the largest is 1000.

Principal peaks in the range 2θ from 5° to 70°, sorted by position:
2theta	Rel. int.	index
28.40	549	1 2 0
30.05	240	1 1 1
35.17	601	2 0 1
37.50	1000	2 1 1
40.60	390	1 3 0
59.70	237	1 4 1
61.28	237	3 3 1
65.54	189	1 3 2

Atomic structure:
Lattice parameters (Å, degrees): 7.028 7.028 3.711 90.00 90.00 90.00
Space group P4/m (No. 83)
Asymmetric unit:
1 Hf 0.000 0.000 0.000 [1 per cell]
2 Hf 0.169 0.325 0.500 [4 per cell]
3 Sc 0.500 0.500 0.000 [1 per cell]
4 Si 0.124 0.624 0.000 [4 per cell]